# Np2ZnH8
Calculated powder X-ray diffraction pattern, λ = 1.5418 Å (Cu Kα). Input: a structure optimized by DFT (PBE).
Intensities are scaled so that the largest is 1000.

```
Np2ZnH8
1.0
-1.891 2.331 5.321
1.891 -2.331 5.321
1.891 2.331 -5.321
Np Zn H
2 1 8
Direct
0.173 0.173 0.000
0.827 0.827 0.000
0.500 0.500 0.000
0.118 0.363 0.755
0.253 0.000 0.253
0.296 0.796 0.500
0.392 0.637 0.755
0.608 0.363 0.245
0.704 0.204 0.500
0.747 0.000 0.747
0.882 0.637 0.245
```

Peak list (10 most intense, 2θ from 10° to 80°, most intense first)
2.937 Å, 30.43°, I = 1000; 2.823 Å, 31.69°, I = 892; 2.588 Å, 34.67°, I = 697; 1.732 Å, 52.87°, I = 481; 1.571 Å, 58.77°, I = 318; 1.518 Å, 61.02°, I = 275; 5.321 Å, 16.66°, I = 266; 2.331 Å, 38.62°, I = 265; 2.572 Å, 34.89°, I = 176; 4.270 Å, 20.80°, I = 176



# LaYbMo12Se16
Calculated powder X-ray diffraction pattern, λ = 1.5418 Å (Cu Kα). Input: a structure optimized by DFT (PBE).
Intensities are scaled so that the largest is 1000.

```
LaYbMo12Se16
1.0
6.833 0.000 0.000
0.128 6.832 0.000
0.227 0.240 13.658
La Yb Mo Se
1 1 12 16
Direct
0.000 0.000 0.000
0.000 0.000 0.500
0.232 0.557 0.711
0.240 0.563 0.213
0.420 0.234 0.779
0.427 0.239 0.281
0.437 0.575 0.881
0.444 0.578 0.383
0.556 0.422 0.617
0.563 0.425 0.119
0.573 0.761 0.719
0.580 0.766 0.221
0.760 0.437 0.787
0.768 0.443 0.289
0.119 0.374 0.876
0.126 0.376 0.376
0.237 0.238 0.619
0.244 0.244 0.121
0.244 0.875 0.811
0.252 0.880 0.314
0.371 0.751 0.561
0.379 0.754 0.061
0.621 0.246 0.939
0.629 0.249 0.439
0.748 0.120 0.686
0.756 0.125 0.189
0.756 0.756 0.879
0.763 0.762 0.381
0.874 0.624 0.624
0.881 0.626 0.124
```

Peak list (10 most intense, 2θ from 10° to 80°, most intense first)
2.056 Å, 44.04°, I = 1000; 2.259 Å, 39.90°, I = 716; 6.830 Å, 12.96°, I = 528; 2.171 Å, 41.59°, I = 521; 2.764 Å, 32.39°, I = 465; 2.780 Å, 32.20°, I = 401; 2.313 Å, 38.94°, I = 383; 1.608 Å, 57.28°, I = 382; 3.076 Å, 29.03°, I = 379; 3.033 Å, 29.44°, I = 366



# Ho4Tm3Th5
Calculated powder X-ray diffraction pattern, λ = 1.5418 Å (Cu Kα). Input: a structure optimized by DFT (PBE).
Intensities are scaled so that the largest is 1000.

```
Ho4Tm3Th5
1.0
7.993 -2.940 0.000
7.993 2.940 0.000
-3.982 0.000 8.263
Ho Tm Th
4 3 5
Direct
0.080 0.080 0.437
0.326 0.326 0.607
0.674 0.674 0.393
0.920 0.920 0.563
0.000 0.000 0.000
0.208 0.208 0.224
0.792 0.792 0.776
0.213 0.213 0.879
0.427 0.427 0.309
0.500 0.500 0.000
0.573 0.573 0.691
0.787 0.787 0.121
```

Peak list (10 most intense, 2θ from 10° to 80°, most intense first)
2.940 Å, 30.40°, I = 1000; 2.721 Å, 32.92°, I = 756; 2.638 Å, 33.98°, I = 697; 3.055 Å, 29.23°, I = 662; 3.031 Å, 29.47°, I = 517; 2.874 Å, 31.12°, I = 453; 2.799 Å, 31.97°, I = 404; 2.118 Å, 42.69°, I = 361; 2.055 Å, 44.06°, I = 354; 3.596 Å, 24.76°, I = 307